Computed PXRD pattern
Compound: Nd12ErTm5
Radiation: a wavelength of 1.5418 Å
Structure: a crystal structure in Alexandria, relaxed with GGA-PBE
Peak positions follow from Bragg's law for the DFT cell and can differ from measured ones.

Crystal structure
```
data_Nd12ErTm5
_cell_length_a 15.2772
_cell_length_b 15.4000
_cell_length_c 5.1337
_cell_angle_alpha 90.00
_cell_angle_beta 90.00
_cell_angle_gamma 90.00
_space_group_name_H-M_alt 'C m m m'
_space_group_IT_number 65
_space_group_name_Hall '-C 2 2'
loop_
_atom_site_label
_atom_site_fract_x
_atom_site_fract_y
_atom_site_fract_z
_atom_site_occupancy
Nd1 0.1644 0.0000 0.0000 1
Nd2 0.1645 0.1666 0.5000 1
Nd3 0.1646 0.3332 0.0000 1
Nd4 0.1647 0.5000 0.5000 1
Er1 0.0000 0.5000 0.0000 1
Tm1 0.0000 0.0000 0.5000 1
Tm2 0.0000 0.1666 0.0000 1
Tm3 0.0000 0.3331 0.5000 1
```

Peak list (10 most intense, 2θ = 10–80°, by angle)
| d/Å | I (rel.) | hkl |
| --- | --- | --- |
| 2.956 | 100 | 3 3 1 |
| 2.567 | 34 | 0 6 0 |
| 2.546 | 17 | 6 0 0 |
| 1.815 | 12 | 0 6 2 |
| 1.808 | 24 | 6 6 0 |
| 1.547 | 29 | 3 9 1 |
| 1.538 | 14 | 9 3 1 |
| 1.478 | 12 | 6 6 2 |
| 1.283 | 4 | 0 12 0 |
| 1.273 | 2 | 12 0 0 |

=====

Computed PXRD pattern
Compound: Nd3Er5Tm3
Radiation: a wavelength of 1.5418 Å
Structure: a crystal structure in Alexandria, relaxed with GGA-PBE
Peak positions follow from Bragg's law for the DFT cell and can differ from measured ones.

Crystal structure
```
data_Nd3Er5Tm3
_cell_length_a 9.6450
_cell_length_b 9.6450
_cell_length_c 5.3410
_cell_angle_alpha 90.00
_cell_angle_beta 90.00
_cell_angle_gamma 120.00
_space_group_name_H-M_alt 'P -6 2 m'
_space_group_IT_number 189
_space_group_name_Hall 'P -6 -2'
loop_
_atom_site_label
_atom_site_fract_x
_atom_site_fract_y
_atom_site_fract_z
_atom_site_occupancy
Nd1 0.0000 0.3669 0.0000 1
Er1 0.0000 0.7390 0.0000 1
Er2 0.3333 0.6667 0.0000 1
Tm1 0.0000 0.5499 0.5000 1
```

Peak list (10 most intense, 2θ = 10–80°, by angle)
| d/Å | I (rel.) | hkl |
| --- | --- | --- |
| 8.353 | 44 | 1 0 0 |
| 5.341 | 64 | 0 0 1 |
| 3.290 | 87 | 2 0 1 |
| 3.157 | 44 | 2 1 0 |
| 2.784 | 55 | 3 0 0 |
| 2.718 | 100 | 2 1 1 |
| 2.670 | 61 | 0 0 2 |
| 2.469 | 90 | 3 0 1 |
| 2.125 | 39 | 3 1 1 |
| 1.500 | 44 | 5 1 0 |

=====

Computed PXRD pattern
Compound: Nd7ErTm3
Radiation: a wavelength of 1.5418 Å
Structure: a crystal structure in Alexandria, relaxed with GGA-PBE
Peak positions follow from Bragg's law for the DFT cell and can differ from measured ones.

Crystal structure
```
data_Nd7ErTm3
_cell_length_a 12.7563
_cell_length_b 11.3870
_cell_length_c 5.8890
_cell_angle_alpha 90.00
_cell_angle_beta 117.45
_cell_angle_gamma 90.00
_space_group_name_H-M_alt 'C 1 2/m 1'
_space_group_IT_number 12
loop_
_space_group_symop_operation_xyz
'x,y,z'
'-x,-y,-z'
'-x,y,-z'
'x,-y,z'
'x+1/2,y+1/2,z'
'-x+1/2,-y+1/2,-z'
'-x+1/2,y+1/2,-z'
'x+1/2,-y+1/2,z'
loop_
_atom_site_label
_atom_site_fract_x
_atom_site_fract_y
_atom_site_fract_z
_atom_site_occupancy
Nd1 0.0000 0.0000 0.0000 1
Nd2 0.1911 0.2882 0.6910 1
Nd3 0.2079 0.5000 0.2068 1
Er1 0.0000 0.0000 0.5000 1
Tm1 0.0000 0.2951 0.0000 1
Tm2 0.0000 0.5000 0.5000 1
```

Peak list (10 most intense, 2θ = 10–80°, by angle)
| d/Å | I (rel.) | hkl |
| --- | --- | --- |
| 3.599 | 9 | 1 3 0 |
| 2.944 | 38 | 2 0 -2 |
| 2.847 | 19 | 0 4 0 |
| 2.830 | 12 | 4 0 0 |
| 2.776 | 100 | 2 2 1 |
| 2.277 | 9 | 3 3 -2 |
| 2.047 | 15 | 2 4 -2 |
| 2.040 | 10 | 6 0 -2 |
| 1.666 | 22 | 0 2 3 |
| 1.511 | 9 | 3 7 -1 |

=====

Computed PXRD pattern
Compound: Nd5Er4Tm
Radiation: a wavelength of 1.5418 Å
Structure: a crystal structure in Alexandria, relaxed with GGA-PBE
Peak positions follow from Bragg's law for the DFT cell and can differ from measured ones.

Crystal structure
```
data_Nd5Er4Tm
_cell_length_a 18.1767
_cell_length_b 3.5845
_cell_length_c 10.4636
_cell_angle_alpha 90.00
_cell_angle_beta 96.22
_cell_angle_gamma 90.00
_space_group_name_H-M_alt 'C 1 2/m 1'
_space_group_IT_number 12
loop_
_space_group_symop_operation_xyz
'x,y,z'
'-x,-y,-z'
'-x,y,-z'
'x,-y,z'
'x+1/2,y+1/2,z'
'-x+1/2,-y+1/2,-z'
'-x+1/2,y+1/2,-z'
'x+1/2,-y+1/2,z'
loop_
_atom_site_label
_atom_site_fract_x
_atom_site_fract_y
_atom_site_fract_z
_atom_site_occupancy
Nd1 0.0000 0.0000 0.0000 1
Nd2 0.1415 0.5000 0.7280 1
Nd3 0.1894 0.5000 0.0990 1
Er1 0.0459 0.5000 0.2653 1
Er2 0.1822 0.0000 0.4154 1
Tm1 0.0000 0.0000 0.5000 1
```

Peak list (10 most intense, 2θ = 10–80°, by angle)
| d/Å | I (rel.) | hkl |
| --- | --- | --- |
| 3.012 | 23 | 6 0 0 |
| 2.908 | 48 | 4 0 -3 |
| 2.885 | 100 | 1 1 2 |
| 2.813 | 20 | 6 0 1 |
| 2.617 | 16 | 4 0 3 |
| 2.517 | 45 | 5 1 -1 |
| 2.430 | 16 | 2 0 4 |
| 2.358 | 15 | 5 1 -2 |
| 1.792 | 16 | 0 2 0 |
| 1.769 | 16 | 10 0 -2 |